The following is a simulated powder XRD pattern of Al25W4. It was derived from a DFT-relaxed cell (PBE, OQMD), using Cu Kα X-rays.
No peak broadening, texture or thermal motion is included.

Crystal structure
```
data_Al25W4
_chemical_formula_sum 'Al50 W8'
_cell_length_a 9.6669
_cell_length_b 9.6669
_cell_length_c 9.6669
_cell_angle_alpha 90.00
_cell_angle_beta 90.00
_cell_angle_gamma 90.00
_symmetry_space_group_name_H-M 'I -4 3 m'
_symmetry_Int_Tables_number 217
_symmetry_space_group_name_Hall 'I -4 2 3'
loop_
_atom_site_label
_atom_site_type_symbol
_atom_site_fract_x
_atom_site_fract_y
_atom_site_fract_z
Al1 Al 0.0000 0.0000 0.0000
Al2 Al 0.0469 0.3641 0.6359
Al3 Al 0.0931 0.0931 0.7184
W1 W 0.1798 0.1798 0.1798
```

Top 10 peaks for 2θ from 15° to 90°, low angle first:
(2 0 0), 2θ = 18.36°, d 4.833, rel. 24.9; (2 1 1), 2θ = 22.53°, d 3.947, rel. 60.6; (3 1 0), 2θ = 29.21°, d 3.057, rel. 14.0; (3 2 1), 2θ = 34.72°, d 2.584, rel. 13.8; (3 3 0), 2θ = 39.55°, d 2.279, rel. 100.0; (3 3 2), 2θ = 43.93°, d 2.061, rel. 17.0; (4 2 2), 2θ = 45.99°, d 1.973, rel. 16.3; (4 4 2), 2θ = 57.17°, d 1.611, rel. 10.9; (5 3 2), 2θ = 58.89°, d 1.568, rel. 11.5; (6 3 3), 2θ = 71.75°, d 1.316, rel. 25.3

=====

The following is a simulated powder XRD pattern of Pr4AsBrO8. It was derived from a DFT-relaxed cell (PBE, OQMD), using Cu Kα X-rays.
No peak broadening, texture or thermal motion is included.

Crystal structure
```
data_Pr4AsBrO8
_chemical_formula_sum 'Pr16 As4 Br4 O32'
_cell_length_a 8.3584
_cell_length_b 8.3584
_cell_length_c 13.2745
_cell_angle_alpha 90.00
_cell_angle_beta 90.00
_cell_angle_gamma 90.00
_symmetry_space_group_name_H-M 'P 42/m'
_symmetry_Int_Tables_number 84
loop_
_symmetry_equiv_pos_as_xyz
'x,y,z'
'-x,-y,-z'
'-y,x,z+1/2'
'y,-x,-z+1/2'
'-x,-y,z'
'x,y,-z'
'y,-x,z+1/2'
'-y,x,-z+1/2'
loop_
_atom_site_label
_atom_site_type_symbol
_atom_site_fract_x
_atom_site_fract_y
_atom_site_fract_z
Pr1 Pr 0.0132 0.2449 0.1673
Pr2 Pr 0.2453 0.5174 0.3323
As1 As 0.0436 0.2516 0.5000
Br1 Br 0.2531 0.4449 0.0000
O1 O 0.0000 0.0000 0.2500
O2 O 0.0000 0.5000 0.2390
O3 O 0.0713 0.7484 0.3940
O4 O 0.0845 0.8342 0.0000
O5 O 0.1658 0.4188 0.5000
O6 O 0.2492 0.2563 0.2710
O7 O 0.5000 0.5000 0.2500
```

Top 10 peaks for 2θ from 15° to 90°, low angle first:
(2 0 3), 2θ = 29.40°, d 3.038, rel. 100.0; (2 2 0), 2θ = 30.24°, d 2.955, rel. 42.3; (0 0 6), 2θ = 40.79°, d 2.212, rel. 10.5; (4 0 0), 2θ = 43.30°, d 2.090, rel. 18.9; (2 2 6), 2θ = 51.61°, d 1.771, rel. 24.7; (4 2 3), 2θ = 53.20°, d 1.722, rel. 33.1; (4 0 6), 2θ = 60.99°, d 1.519, rel. 9.3; (2 0 9), 2θ = 67.32°, d 1.391, rel. 10.2; (4 2 9), 2θ = 83.49°, d 1.158, rel. 9.2; (6 2 6), 2θ = 85.61°, d 1.135, rel. 7.3

=====

The following is a simulated powder XRD pattern of Nd2Co2SiC. It was derived from a DFT-relaxed cell (PBE, OQMD), using Cu Kα X-rays.
No peak broadening, texture or thermal motion is included.

Crystal structure
```
data_Nd2Co2SiC
_chemical_formula_sum 'Nd4 Co4 Si2 C2'
_cell_length_a 3.9561
_cell_length_b 6.0477
_cell_length_c 8.9101
_cell_angle_alpha 90.00
_cell_angle_beta 90.00
_cell_angle_gamma 90.00
_symmetry_space_group_name_H-M 'I m m m'
_symmetry_Int_Tables_number 71
_symmetry_space_group_name_Hall '-I 2 2'
loop_
_atom_site_label
_atom_site_type_symbol
_atom_site_fract_x
_atom_site_fract_y
_atom_site_fract_z
Nd1 Nd 0.0000 0.0000 0.1908
Co1 Co 0.0000 0.2060 0.5000
Si1 Si 0.0000 0.5000 0.0000
C1 C 0.0000 0.5000 0.5000
```

Top 10 peaks for 2θ from 15° to 90°, low angle first:
(1 1 0), 2θ = 26.93°, d 3.311, rel. 100.0; (0 1 3), 2θ = 33.62°, d 2.666, rel. 68.5; (1 1 2), 2θ = 33.73°, d 2.657, rel. 66.6; (0 2 2), 2θ = 35.89°, d 2.502, rel. 46.3; (1 0 3), 2θ = 37.88°, d 2.375, rel. 68.2; (1 2 1), 2θ = 38.82°, d 2.320, rel. 49.9; (2 0 0), 2θ = 45.88°, d 1.978, rel. 29.8; (1 3 2), 2θ = 55.12°, d 1.666, rel. 45.4; (2 1 3), 2θ = 58.06°, d 1.589, rel. 28.5; (1 2 5), 2θ = 65.18°, d 1.431, rel. 34.2